Entry 1:
Diffraction record for RbUTlS3. The X-ray diffraction stick pattern is calculated, not measured: it uses the GGA-PBE geometry in Alexandria and Cu Kα (weighted mean of Kα1 and Kα2).
No peak broadening, texture or thermal motion is included.

The 10 most intense peaks (10 to 80 degrees two-theta), in order of rising 2θ:
(0 2 0), 11.53 deg, I 60
(1 3 -1), 23.24 deg, I 85
(2 0 0), 23.61 deg, I 58
(0 0 2), 25.52 deg, I 47
(1 3 1), 25.88 deg, I 100
(2 0 -2), 31.02 deg, I 46
(0 6 0), 35.05 deg, I 37
(2 0 2), 38.70 deg, I 25
(3 3 -1), 39.60 deg, I 32
(1 3 -3), 42.02 deg, I 28

Structural model:
```
data_RbUTlS3
_cell_length_a 7.710
_cell_length_b 15.348
_cell_length_c 7.144
_cell_angle_alpha 90.00
_cell_angle_beta 102.22
_cell_angle_gamma 90.00
_space_group_name_H-M_alt 'C 1 2/c 1'
_space_group_IT_number 15
loop_
_space_group_symop_operation_xyz
'x,y,z'
'-x,-y,-z'
'-x,y,-z+1/2'
'x,-y,z+1/2'
'x+1/2,y+1/2,z'
'-x+1/2,-y+1/2,-z'
'-x+1/2,y+1/2,-z+1/2'
'x+1/2,-y+1/2,z+1/2'
loop_
_atom_site_label
_atom_site_type_symbol
_atom_site_fract_x
_atom_site_fract_y
_atom_site_fract_z
Rb1 Rb 0.000 0.247 0.250
U1 U 0.000 0.055 0.750
Tl1 Tl 0.000 0.420 0.750
S1 S 0.000 0.220 0.750
S2 S 0.214 0.044 0.501
```

---

Entry 2:
Diffraction record for RbTl2WS4. The X-ray diffraction stick pattern is calculated, not measured: it uses the GGA-PBE geometry in Alexandria and Cu Kα (weighted mean of Kα1 and Kα2).
No peak broadening, texture or thermal motion is included.

The 10 most intense peaks (10 to 80 degrees two-theta), in order of rising 2θ:
(1 1 1), 15.48 deg, I 16
(2 2 0), 22.14 deg, I 65
(2 0 2), 26.90 deg, I 100
(4 0 0), 31.51 deg, I 37
(4 2 2), 41.90 deg, I 66
(2 2 4), 50.14 deg, I 21
(6 2 0), 50.85 deg, I 20
(6 0 2), 53.35 deg, I 14
(6 4 2), 63.29 deg, I 19
(6 2 4), 69.76 deg, I 13

Structural model:
```
data_RbTl2WS4
_cell_length_a 11.348
_cell_length_b 11.367
_cell_length_c 8.163
_cell_angle_alpha 90.00
_cell_angle_beta 90.00
_cell_angle_gamma 90.00
_space_group_name_H-M_alt 'F m m 2'
_space_group_IT_number 42
_space_group_name_Hall 'F 2 -2'
loop_
_atom_site_label
_atom_site_type_symbol
_atom_site_fract_x
_atom_site_fract_y
_atom_site_fract_z
Rb1 Rb 0.000 0.000 0.000
Tl1 Tl 0.250 0.250 0.250
W1 W 0.000 0.000 0.500
S1 S 0.000 0.164 0.649
S2 S 0.165 0.000 0.351
```

---

Entry 3:
Diffraction record for Rb2TmVS4. The X-ray diffraction stick pattern is calculated, not measured: it uses the GGA-PBE geometry in Alexandria and Cu Kα (weighted mean of Kα1 and Kα2).
No peak broadening, texture or thermal motion is included.

The 10 most intense peaks (10 to 80 degrees two-theta), in order of rising 2θ:
(1 0 1), 15.27 deg, I 21
(2 0 0), 24.45 deg, I 30
(1 1 2), 25.35 deg, I 100
(2 1 1), 28.95 deg, I 10
(2 2 0), 34.84 deg, I 24
(1 3 2), 43.58 deg, I 42
(2 0 4), 45.22 deg, I 27
(2 2 4), 52.07 deg, I 10
(2 4 0), 56.51 deg, I 11
(5 1 2), 68.54 deg, I 11

Structural model:
```
data_Rb2TmVS4
_cell_length_a 7.283
_cell_length_b 7.283
_cell_length_c 9.608
_cell_angle_alpha 90.00
_cell_angle_beta 90.00
_cell_angle_gamma 90.00
_space_group_name_H-M_alt 'I -4'
_space_group_IT_number 82
loop_
_space_group_symop_operation_xyz
'x,y,z'
'y,-x,-z'
'-x,-y,z'
'-y,x,-z'
'x+1/2,y+1/2,z+1/2'
'y+1/2,-x+1/2,-z+1/2'
'-x+1/2,-y+1/2,z+1/2'
'-y+1/2,x+1/2,-z+1/2'
loop_
_atom_site_label
_atom_site_type_symbol
_atom_site_fract_x
_atom_site_fract_y
_atom_site_fract_z
Rb1 Rb 0.000 0.000 0.000
Rb2 Rb 0.000 0.500 0.250
Tm1 Tm 0.000 0.500 0.750
V1 V 0.000 0.000 0.500
S1 S 0.149 0.233 0.618
```

---

Entry 4:
Diffraction record for Rb3U4S8. The X-ray diffraction stick pattern is calculated, not measured: it uses the GGA-PBE geometry in Alexandria and Cu Kα (weighted mean of Kα1 and Kα2).
No peak broadening, texture or thermal motion is included.

The 10 most intense peaks (10 to 80 degrees two-theta), in order of rising 2θ:
(1 1 0), 12.54 deg, I 68
(2 2 0), 25.24 deg, I 73
(2 2 -2), 26.40 deg, I 55
(0 0 2), 29.63 deg, I 51
(0 4 0), 30.04 deg, I 100
(0 4 2), 42.67 deg, I 37
(4 4 -2), 43.00 deg, I 36
(4 0 -4), 44.20 deg, I 21
(4 4 0), 51.83 deg, I 29
(4 4 -4), 54.34 deg, I 21

Structural model:
```
data_Rb3U4S8
_cell_length_a 11.909
_cell_length_b 11.916
_cell_length_c 8.195
_cell_angle_alpha 90.00
_cell_angle_beta 132.63
_cell_angle_gamma 90.00
_space_group_name_H-M_alt 'C 1 2/m 1'
_space_group_IT_number 12
loop_
_space_group_symop_operation_xyz
'x,y,z'
'-x,-y,-z'
'-x,y,-z'
'x,-y,z'
'x+1/2,y+1/2,z'
'-x+1/2,-y+1/2,-z'
'-x+1/2,y+1/2,-z'
'x+1/2,-y+1/2,z'
loop_
_atom_site_label
_atom_site_type_symbol
_atom_site_fract_x
_atom_site_fract_y
_atom_site_fract_z
Rb1 Rb 0.000 0.000 0.000
Rb2 Rb 0.250 0.250 0.000
U1 U 0.000 0.500 0.000
U2 U 0.000 0.500 0.500
U3 U 0.250 0.250 0.500
S1 S 0.000 0.272 0.000
S2 S 0.000 0.272 0.500
S3 S 0.191 0.500 0.937
S4 S 0.219 0.500 0.465
```

---

Entry 5:
Diffraction record for Rb3US4. The X-ray diffraction stick pattern is calculated, not measured: it uses the GGA-PBE geometry in Alexandria and Cu Kα (weighted mean of Kα1 and Kα2).
No peak broadening, texture or thermal motion is included.

The 10 most intense peaks (10 to 80 degrees two-theta), in order of rising 2θ:
(1 0 0), 11.53 deg, I 39
(2 0 0), 23.18 deg, I 40
(1 2 -1), 24.03 deg, I 60
(0 0 2), 25.53 deg, I 24
(1 2 1), 27.85 deg, I 100
(2 0 -2), 28.36 deg, I 51
(3 2 -1), 38.64 deg, I 36
(0 4 0), 39.35 deg, I 19
(1 2 -3), 41.66 deg, I 32
(3 2 1), 46.12 deg, I 30

Structural model:
```
data_Rb3US4
_cell_length_a 8.128
_cell_length_b 9.159
_cell_length_c 7.387
_cell_angle_alpha 90.00
_cell_angle_beta 109.17
_cell_angle_gamma 90.00
_space_group_name_H-M_alt 'P 1 2/c 1'
_space_group_IT_number 13
loop_
_space_group_symop_operation_xyz
'x,y,z'
'-x,-y,-z'
'-x,y,-z+1/2'
'x,-y,z+1/2'
loop_
_atom_site_label
_atom_site_type_symbol
_atom_site_fract_x
_atom_site_fract_y
_atom_site_fract_z
Rb1 Rb 0.000 0.112 0.250
Rb2 Rb 0.500 0.125 0.750
Rb3 Rb 0.500 0.387 0.250
U1 U 0.000 0.385 0.750
S1 S 0.180 0.406 0.500
S2 S 0.211 0.189 0.944
```

---

Entry 6:
Diffraction record for Rb5US4. The X-ray diffraction stick pattern is calculated, not measured: it uses the GGA-PBE geometry in Alexandria and Cu Kα (weighted mean of Kα1 and Kα2).
No peak broadening, texture or thermal motion is included.

The 10 most intense peaks (10 to 80 degrees two-theta), in order of rising 2θ:
(2 0 2), 22.92 deg, I 40
(4 0 -2), 24.44 deg, I 34
(3 1 0), 24.62 deg, I 65
(6 0 0), 27.37 deg, I 51
(1 1 -2), 28.27 deg, I 100
(5 1 2), 38.79 deg, I 34
(2 0 -4), 39.22 deg, I 18
(7 1 -2), 40.70 deg, I 33
(0 2 0), 41.56 deg, I 18
(4 0 4), 46.78 deg, I 22

Structural model:
```
data_Rb5US4
_cell_length_a 19.829
_cell_length_b 4.346
_cell_length_c 9.209
_cell_angle_alpha 90.00
_cell_angle_beta 99.54
_cell_angle_gamma 90.00
_space_group_name_H-M_alt 'C 1 2/m 1'
_space_group_IT_number 12
loop_
_space_group_symop_operation_xyz
'x,y,z'
'-x,-y,-z'
'-x,y,-z'
'x,-y,z'
'x+1/2,y+1/2,z'
'-x+1/2,-y+1/2,-z'
'-x+1/2,y+1/2,-z'
'x+1/2,-y+1/2,z'
loop_
_atom_site_label
_atom_site_type_symbol
_atom_site_fract_x
_atom_site_fract_y
_atom_site_fract_z
Rb1 Rb 0.000 0.000 0.000
Rb2 Rb 0.157 0.500 0.816
Rb3 Rb 0.174 0.500 0.341
U1 U 0.000 0.000 0.500
S1 S 0.006 0.500 0.303
S2 S 0.135 0.000 0.563
```

---

Entry 7:
Diffraction record for RbU3S9. The X-ray diffraction stick pattern is calculated, not measured: it uses the GGA-PBE geometry in Alexandria and Cu Kα (weighted mean of Kα1 and Kα2).
No peak broadening, texture or thermal motion is included.

The 10 most intense peaks (10 to 80 degrees two-theta), in order of rising 2θ:
(1 0 0), 10.48 deg, I 28
(0 0 1), 17.39 deg, I 41
(1 0 1), 20.35 deg, I 31
(2 0 0), 21.06 deg, I 100
(1 1 1), 25.28 deg, I 22
(2 0 1), 27.44 deg, I 27
(2 2 0), 36.90 deg, I 40
(2 2 1), 41.07 deg, I 21
(2 0 2), 41.38 deg, I 36
(2 2 2), 51.92 deg, I 28

Structural model:
```
data_RbU3S9
_cell_length_a 9.7430
_cell_length_b 9.7430
_cell_length_c 5.0993
_cell_angle_alpha 90.00
_cell_angle_beta 90.00
_cell_angle_gamma 120.00
_space_group_name_H-M_alt 'P 6/m m m'
_space_group_IT_number 191
_space_group_name_Hall '-P 6 2'
loop_
_atom_site_label
_atom_site_type_symbol
_atom_site_fract_x
_atom_site_fract_y
_atom_site_fract_z
Rb1 Rb 0.0000 0.0000 0.0000
U1 U 0.0000 0.5000 0.5000
S1 S 0.0000 0.5000 0.0000
S2 S 0.2024 0.4048 0.5000
```

---

Entry 8:
Diffraction record for Rb3VS4. The X-ray diffraction stick pattern is calculated, not measured: it uses the GGA-PBE geometry in Alexandria and Cu Kα (weighted mean of Kα1 and Kα2).
No peak broadening, texture or thermal motion is included.

The 10 most intense peaks (10 to 80 degrees two-theta), in order of rising 2θ:
(2 0 1), 20.82 deg, I 24
(0 2 2), 24.52 deg, I 100
(1 2 2), 26.25 deg, I 38
(2 0 2), 26.39 deg, I 35
(0 1 3), 29.09 deg, I 43
(3 0 1), 29.63 deg, I 26
(2 3 0), 30.48 deg, I 60
(2 3 1), 31.91 deg, I 42
(0 4 0), 32.07 deg, I 23
(2 2 3), 37.55 deg, I 44

Structural model:
```
data_Rb3VS4
_cell_length_a 9.528
_cell_length_b 11.164
_cell_length_c 9.579
_cell_angle_alpha 90.00
_cell_angle_beta 90.00
_cell_angle_gamma 90.00
_space_group_name_H-M_alt 'P n m a'
_space_group_IT_number 62
loop_
_space_group_symop_operation_xyz
'x,y,z'
'-x,-y,-z'
'-x+1/2,-y,z+1/2'
'x+1/2,y,-z+1/2'
'x+1/2,-y+1/2,-z+1/2'
'-x+1/2,y+1/2,z+1/2'
'-x,y+1/2,-z'
'x,-y+1/2,z'
loop_
_atom_site_label
_atom_site_type_symbol
_atom_site_fract_x
_atom_site_fract_y
_atom_site_fract_z
Rb1 Rb 0.048 0.044 0.209
Rb2 Rb 0.144 0.750 0.416
V1 V 0.220 0.750 0.985
S1 S 0.010 0.750 0.073
S2 S 0.170 0.090 0.550
S3 S 0.205 0.750 0.759
```

---

Entry 9:
Diffraction record for Rb2VZnS4. The X-ray diffraction stick pattern is calculated, not measured: it uses the GGA-PBE geometry in Alexandria and Cu Kα (weighted mean of Kα1 and Kα2).
No peak broadening, texture or thermal motion is included.

The 10 most intense peaks (10 to 80 degrees two-theta), in order of rising 2θ:
(2 0 0), 25.10 deg, I 30
(1 1 2), 26.70 deg, I 100
(2 1 1), 29.88 deg, I 18
(2 2 0), 35.79 deg, I 22
(1 3 2), 45.21 deg, I 42
(2 0 4), 48.09 deg, I 26
(2 2 4), 55.00 deg, I 11
(4 2 0), 58.15 deg, I 15
(3 3 2), 58.96 deg, I 10
(5 1 2), 70.93 deg, I 10

Structural model:
```
data_Rb2VZnS4
_cell_length_a 7.096
_cell_length_b 7.096
_cell_length_c 8.947
_cell_angle_alpha 90.00
_cell_angle_beta 90.00
_cell_angle_gamma 90.00
_space_group_name_H-M_alt 'I -4'
_space_group_IT_number 82
loop_
_space_group_symop_operation_xyz
'x,y,z'
'y,-x,-z'
'-x,-y,z'
'-y,x,-z'
'x+1/2,y+1/2,z+1/2'
'y+1/2,-x+1/2,-z+1/2'
'-x+1/2,-y+1/2,z+1/2'
'-y+1/2,x+1/2,-z+1/2'
loop_
_atom_site_label
_atom_site_type_symbol
_atom_site_fract_x
_atom_site_fract_y
_atom_site_fract_z
Rb1 Rb 0.000 0.000 0.000
Rb2 Rb 0.000 0.500 0.250
V1 V 0.000 0.000 0.500
Zn1 Zn 0.000 0.500 0.750
S1 S 0.131 0.767 0.630
```

---

Entry 10:
Diffraction record for Rb3Zr3VS8. The X-ray diffraction stick pattern is calculated, not measured: it uses the GGA-PBE geometry in Alexandria and Cu Kα (weighted mean of Kα1 and Kα2).
No peak broadening, texture or thermal motion is included.

The 10 most intense peaks (10 to 80 degrees two-theta), in order of rising 2θ:
(0 0 1), 11.23 deg, I 22
(2 0 0), 15.68 deg, I 14
(0 0 2), 22.56 deg, I 19
(2 2 0), 28.77 deg, I 21
(4 0 0), 31.67 deg, I 100
(2 2 2), 41.49 deg, I 35
(4 0 2), 47.74 deg, I 13
(0 4 0), 49.06 deg, I 30
(6 2 0), 54.64 deg, I 11
(4 4 0), 59.58 deg, I 15

Structural model:
```
data_Rb3Zr3VS8
_cell_length_a 12.874
_cell_length_b 7.422
_cell_length_c 8.977
_cell_angle_alpha 90.00
_cell_angle_beta 118.60
_cell_angle_gamma 90.00
_space_group_name_H-M_alt 'C 1 2/m 1'
_space_group_IT_number 12
loop_
_space_group_symop_operation_xyz
'x,y,z'
'-x,-y,-z'
'-x,y,-z'
'x,-y,z'
'x+1/2,y+1/2,z'
'-x+1/2,-y+1/2,-z'
'-x+1/2,y+1/2,-z'
'x+1/2,-y+1/2,z'
loop_
_atom_site_label
_atom_site_type_symbol
_atom_site_fract_x
_atom_site_fract_y
_atom_site_fract_z
Rb1 Rb 0.000 0.000 0.000
Rb2 Rb 0.250 0.250 0.000
Zr1 Zr 0.000 0.500 0.500
Zr2 Zr 0.250 0.250 0.500
V1 V 0.000 0.000 0.500
S1 S 0.021 0.246 0.317
S2 S 0.225 0.000 0.683
S3 S 0.230 0.500 0.691
```

---

Entry 11:
Diffraction record for RbWS4. The X-ray diffraction stick pattern is calculated, not measured: it uses the GGA-PBE geometry in Alexandria and Cu Kα (weighted mean of Kα1 and Kα2).
No peak broadening, texture or thermal motion is included.

The 10 most intense peaks (10 to 80 degrees two-theta), in order of rising 2θ:
(2 0 0), 12.83 deg, I 49
(1 1 0), 13.82 deg, I 100
(2 0 1), 19.75 deg, I 32
(3 1 0), 22.91 deg, I 47
(0 2 0), 24.61 deg, I 19
(4 0 0), 25.79 deg, I 24
(1 1 -2), 30.42 deg, I 30
(2 2 1), 31.75 deg, I 24
(0 2 2), 37.33 deg, I 30
(4 2 -2), 44.22 deg, I 18

Structural model:
```
data_RbWS4
_cell_length_a 13.867
_cell_length_b 7.235
_cell_length_c 6.490
_cell_angle_alpha 90.00
_cell_angle_beta 95.75
_cell_angle_gamma 90.00
_space_group_name_H-M_alt 'C 1 2/m 1'
_space_group_IT_number 12
loop_
_space_group_symop_operation_xyz
'x,y,z'
'-x,-y,-z'
'-x,y,-z'
'x,-y,z'
'x+1/2,y+1/2,z'
'-x+1/2,-y+1/2,-z'
'-x+1/2,y+1/2,-z'
'x+1/2,-y+1/2,z'
loop_
_atom_site_label
_atom_site_type_symbol
_atom_site_fract_x
_atom_site_fract_y
_atom_site_fract_z
Rb1 Rb 0.191 0.000 0.171
W1 W 0.033 0.500 0.294
S1 S 0.000 0.293 0.000
S2 S 0.072 0.254 0.556
S3 S 0.200 0.500 0.286
```

---

Entry 12:
Diffraction record for Rb3W2S8. The X-ray diffraction stick pattern is calculated, not measured: it uses the GGA-PBE geometry in Alexandria and Cu Kα (weighted mean of Kα1 and Kα2).
No peak broadening, texture or thermal motion is included.

The 10 most intense peaks (10 to 80 degrees two-theta), in order of rising 2θ:
(1 0 1), 14.73 deg, I 40
(0 0 6), 18.59 deg, I 22
(0 1 5), 21.20 deg, I 100
(1 1 0), 25.08 deg, I 97
(2 0 5), 33.07 deg, I 57
(1 0 10), 34.55 deg, I 29
(1 2 5), 41.95 deg, I 36
(3 0 0), 44.18 deg, I 21
(2 1 10), 50.58 deg, I 19
(2 2 0), 51.48 deg, I 26

Structural model:
```
data_Rb3W2S8
_cell_length_a 7.1006
_cell_length_b 7.1006
_cell_length_c 28.6370
_cell_angle_alpha 90.00
_cell_angle_beta 90.00
_cell_angle_gamma 120.00
_space_group_name_H-M_alt 'R -3 m'
_space_group_IT_number 166
_space_group_name_Hall '-R 3 2"'
loop_
_atom_site_label
_atom_site_type_symbol
_atom_site_fract_x
_atom_site_fract_y
_atom_site_fract_z
Rb1 Rb 0.0000 0.0000 0.0000
Rb2 Rb 0.0000 0.0000 0.2099
W1 W 0.0000 0.0000 0.4100
S1 S 0.0000 0.0000 0.3332
S2 S 0.0038 0.5019 0.7698
```